No. 1
# Ba2LaMn2O7
Calculated powder diffractogram, λ = 1.5418 Å (Cu Kα). Input: the PBE+U geometry in the Materials Project.
No peak broadening, texture or thermal motion is included.

Structural model:
Cell: 5.675 20.841 5.675 Å, 90.00 90.00 90.00°
Space group Cmcm (No. 63)
Symmetry-distinct sites (fractional):
Ba 0.000 0.069 0.250 (multiplicity 4)
Ba 0.000 0.431 0.250 (multiplicity 4)
La 0.000 0.250 0.250 (multiplicity 4)
Mn 0.000 0.156 0.750 (multiplicity 4)
Mn 0.000 0.342 0.750 (multiplicity 4)
O 0.000 0.064 0.750 (multiplicity 4)
O 0.000 0.248 0.750 (multiplicity 4)
O 0.000 0.435 0.750 (multiplicity 4)
O 0.240 0.336 0.510 (multiplicity 16)

Top 12 peaks for 2θ from 10° to 90°, in order of falling intensity:
30.9 deg, rel. 100, hkl 1 5 1
31.5 deg, rel. 67, hkl 2 0 0
45.2 deg, rel. 40, hkl 2 0 2
55.8 deg, rel. 38, hkl 3 5 1
41.1 deg, rel. 34, hkl 2 6 0
25.6 deg, rel. 18, hkl 0 6 0
22.6 deg, rel. 18, hkl 1 1 1
52.7 deg, rel. 14, hkl 0 12 0
65.8 deg, rel. 13, hkl 4 0 0
71.9 deg, rel. 12, hkl 2 12 2
54.6 deg, rel. 12, hkl 2 10 0
82.2 deg, rel. 12, hkl 1 17 1

***

No. 2
# Sr2Co2O5
Calculated powder diffractogram, λ = 1.5418 Å (Cu Kα). Input: the PBE+U geometry in the Materials Project.
No peak broadening, texture or thermal motion is included.

Structural model:
Cell: 5.428 16.282 5.539 Å, 90.00 90.00 90.00°
Space group Pnma (No. 62)
Symmetry-distinct sites (fractional):
Sr 0.001 0.110 0.009 (multiplicity 8)
Co 0.000 0.000 0.500 (multiplicity 4)
Co 0.029 0.750 0.439 (multiplicity 4)
O 0.016 0.145 0.463 (multiplicity 8)
O 0.121 0.250 0.876 (multiplicity 4)
O 0.249 0.504 0.249 (multiplicity 8)

Top 12 peaks for 2θ from 10° to 90°, in order of falling intensity:
31.9 deg, rel. 100, hkl 1 4 1
33.0 deg, rel. 34, hkl 2 0 0
46.9 deg, rel. 32, hkl 2 0 2
32.3 deg, rel. 30, hkl 0 0 2
58.2 deg, rel. 18, hkl 3 4 1
57.4 deg, rel. 18, hkl 1 4 3
44.5 deg, rel. 16, hkl 0 8 0
40.6 deg, rel. 15, hkl 1 6 1
66.6 deg, rel. 14, hkl 2 8 2
56.5 deg, rel. 10, hkl 2 8 0
10.9 deg, rel. 9, hkl 0 2 0
56.1 deg, rel. 8, hkl 0 8 2

***

No. 3
# Na4Ni2C4SO16
Calculated powder diffractogram, λ = 1.5418 Å (Cu Kα). Input: the PBE+U geometry in the Materials Project.
No peak broadening, texture or thermal motion is included.

Structural model:
Cell: 9.800 9.844 9.880 Å, 119.61 119.33 90.18°
Space group P1 (No. 1)
Symmetry-distinct sites (fractional):
Na 0.000 0.000 0.000 (multiplicity 1)
Na 0.001 0.001 0.416 (multiplicity 1)
Na 0.324 0.819 0.494 (multiplicity 1)
Na 0.564 0.559 0.974 (multiplicity 1)
Na 0.568 0.997 0.989 (multiplicity 1)
Na 0.737 0.257 0.495 (multiplicity 1)
Na 0.741 0.817 0.494 (multiplicity 1)
Na 0.992 0.569 0.989 (multiplicity 1)
Ni 0.154 0.910 0.740 (multiplicity 1)
Ni 0.155 0.409 0.239 (multiplicity 1)
Ni 0.155 0.410 0.740 (multiplicity 1)
Ni 0.654 0.410 0.238 (multiplicity 1)
C 0.009 0.194 0.809 (multiplicity 1)
C 0.299 0.624 0.667 (multiplicity 1)
C 0.368 0.195 0.811 (multiplicity 1)
C 0.369 0.194 0.168 (multiplicity 1)
C 0.370 0.555 0.168 (multiplicity 1)
C 0.938 0.263 0.310 (multiplicity 1)
C 0.939 0.623 0.667 (multiplicity 1)
C 0.941 0.628 0.311 (multiplicity 1)
S 0.532 0.033 0.491 (multiplicity 1)
S 0.781 0.785 0.992 (multiplicity 1)
O 0.001 0.309 0.780 (multiplicity 1)
O 0.021 0.218 0.955 (multiplicity 1)
O 0.051 0.598 0.786 (multiplicity 1)
O 0.054 0.261 0.283 (multiplicity 1)
O 0.057 0.770 0.450 (multiplicity 1)
O 0.251 0.217 0.695 (multiplicity 1)
O 0.252 0.057 0.027 (multiplicity 1)
O 0.254 0.564 0.198 (multiplicity 1)
O 0.292 0.599 0.524 (multiplicity 1)
O 0.303 0.511 0.698 (multiplicity 1)
O 0.307 0.769 0.788 (multiplicity 1)
O 0.344 0.311 0.281 (multiplicity 1)
O 0.346 0.547 0.024 (multiplicity 1)
O 0.346 0.974 0.369 (multiplicity 1)
O 0.349 0.049 0.781 (multiplicity 1)
O 0.504 0.314 0.954 (multiplicity 1)
O 0.512 0.560 0.288 (multiplicity 1)
O 0.516 0.214 0.200 (multiplicity 1)
O 0.589 0.218 0.612 (multiplicity 1)
O 0.589 0.967 0.609 (multiplicity 1)
O 0.600 0.977 0.374 (multiplicity 1)
O 0.718 0.846 0.116 (multiplicity 1)
O 0.724 0.853 0.875 (multiplicity 1)
O 0.725 0.601 0.874 (multiplicity 1)
O 0.796 0.259 0.193 (multiplicity 1)
O 0.797 0.606 0.283 (multiplicity 1)
O 0.803 0.504 0.522 (multiplicity 1)
O 0.961 0.259 0.448 (multiplicity 1)
O 0.961 0.768 0.699 (multiplicity 1)
O 0.967 0.513 0.196 (multiplicity 1)
O 0.968 0.847 0.116 (multiplicity 1)
O 0.999 0.049 0.685 (multiplicity 1)

Top 12 peaks for 2θ from 10° to 90°, in order of falling intensity:
11.0 deg, rel. 100, hkl 1 0 -1
21.2 deg, rel. 88, hkl 2 -1 0
33.5 deg, rel. 61, hkl 2 3 -2
20.9 deg, rel. 58, hkl 0 1 -2
17.9 deg, rel. 38, hkl 1 -1 1
33.6 deg, rel. 36, hkl 2 3 -3
36.1 deg, rel. 31, hkl 2 -2 2
32.9 deg, rel. 30, hkl 0 1 2
22.0 deg, rel. 24, hkl 0 2 0
20.9 deg, rel. 21, hkl 1 0 -2
25.7 deg, rel. 19, hkl 2 2 -2
21.3 deg, rel. 18, hkl 2 1 -2

***

No. 4
# Fe2PClO4
Calculated powder diffractogram, λ = 1.5418 Å (Cu Kα). Input: the PBE+U geometry in the Materials Project.
No peak broadening, texture or thermal motion is included.

Structural model:
Cell: 13.792 9.405 9.463 Å, 90.00 132.32 90.00°
Space group C2 (No. 5)
Symmetry-distinct sites (fractional):
Fe 0.000 0.000 0.000 (multiplicity 2)
Fe 0.000 0.455 0.500 (multiplicity 2)
Fe 0.001 0.729 0.751 (multiplicity 4)
Fe 0.187 0.470 0.427 (multiplicity 4)
Fe 0.187 0.989 0.929 (multiplicity 4)
P 0.232 0.718 0.734 (multiplicity 4)
P 0.233 0.738 0.236 (multiplicity 4)
Cl 0.070 0.463 0.823 (multiplicity 4)
Cl 0.070 0.994 0.321 (multiplicity 4)
O 0.129 0.629 0.543 (multiplicity 4)
O 0.130 0.827 0.045 (multiplicity 4)
O 0.151 0.663 0.274 (multiplicity 4)
O 0.152 0.796 0.772 (multiplicity 4)
O 0.167 0.340 0.595 (multiplicity 4)
O 0.168 0.115 0.097 (multiplicity 4)
O 0.195 0.322 0.289 (multiplicity 4)
O 0.196 0.131 0.785 (multiplicity 4)

Top 12 peaks for 2θ from 10° to 90°, in order of falling intensity:
31.9 deg, rel. 100, hkl 0 2 2
32.3 deg, rel. 83, hkl 4 2 -2
21.8 deg, rel. 82, hkl 1 1 1
37.9 deg, rel. 75, hkl 5 1 -1
12.8 deg, rel. 75, hkl 1 1 0
13.3 deg, rel. 75, hkl 1 1 -1
26.7 deg, rel. 70, hkl 2 2 -2
55.1 deg, rel. 65, hkl 4 4 -4
29.8 deg, rel. 62, hkl 1 3 0
38.0 deg, rel. 48, hkl 4 0 -4
38.3 deg, rel. 40, hkl 0 4 0
37.6 deg, rel. 35, hkl 3 1 1

***

No. 5
# Li2VF6
Calculated powder diffractogram, λ = 1.5418 Å (Cu Kα). Input: the PBE+U geometry in the Materials Project.
No peak broadening, texture or thermal motion is included.

Structural model:
Cell: 10.312 5.387 4.744 Å, 90.00 107.29 90.00°
Space group C2/m (No. 12)
Symmetry-distinct sites (fractional):
Li 0.151 0.000 0.144 (multiplicity 4)
V 0.000 0.500 0.500 (multiplicity 2)
F 0.068 0.258 0.307 (multiplicity 8)
F 0.166 0.500 0.814 (multiplicity 4)

Top 12 peaks for 2θ from 10° to 90°, in order of falling intensity:
18.8 deg, rel. 100, hkl 1 1 0
18.0 deg, rel. 76, hkl 2 0 0
25.2 deg, rel. 74, hkl 1 1 -1
40.5 deg, rel. 39, hkl 2 2 -1
30.5 deg, rel. 38, hkl 2 0 1
19.6 deg, rel. 31, hkl 0 0 1
46.9 deg, rel. 28, hkl 4 0 1
51.8 deg, rel. 22, hkl 2 2 -2
33.0 deg, rel. 17, hkl 3 1 -1
49.8 deg, rel. 17, hkl 4 2 -1
22.4 deg, rel. 15, hkl 2 0 -1
57.7 deg, rel. 12, hkl 4 2 -2

***

No. 6
# Li7Mn5O12
Calculated powder diffractogram, λ = 1.5418 Å (Cu Kα). Input: the PBE+U geometry in the Materials Project.
No peak broadening, texture or thermal motion is included.

Structural model:
Cell: 6.499 7.742 9.910 Å, 94.47 98.96 114.16°
Space group P-1 (No. 2)
Symmetry-distinct sites (fractional):
Li 0.005 0.252 0.254 (multiplicity 2)
Li 0.154 0.966 0.283 (multiplicity 2)
Li 0.160 0.197 0.535 (multiplicity 2)
Li 0.163 0.472 0.790 (multiplicity 2)
Li 0.181 0.719 0.046 (multiplicity 2)
Li 0.485 0.612 0.614 (multiplicity 2)
Li 0.490 0.119 0.114 (multiplicity 2)
Mn 0.000 0.000 0.000 (multiplicity 1)
Mn 0.000 0.500 0.500 (multiplicity 1)
Mn 0.321 0.156 0.826 (multiplicity 2)
Mn 0.322 0.912 0.583 (multiplicity 2)
Mn 0.327 0.663 0.328 (multiplicity 2)
Mn 0.330 0.414 0.083 (multiplicity 2)
O 0.080 0.209 0.894 (multiplicity 2)
O 0.081 0.707 0.390 (multiplicity 2)
O 0.091 0.972 0.640 (multiplicity 2)
O 0.122 0.499 0.162 (multiplicity 2)
O 0.226 0.675 0.660 (multiplicity 2)
O 0.229 0.177 0.161 (multiplicity 2)
O 0.243 0.950 0.936 (multiplicity 2)
O 0.245 0.456 0.434 (multiplicity 2)
O 0.416 0.629 0.977 (multiplicity 2)
O 0.421 0.885 0.231 (multiplicity 2)
O 0.423 0.379 0.726 (multiplicity 2)
O 0.451 0.154 0.500 (multiplicity 2)

Top 12 peaks for 2θ from 10° to 90°, in order of falling intensity:
18.3 deg, rel. 100, hkl 1 -1 1
44.3 deg, rel. 53, hkl -3 2 2
40.7 deg, rel. 33, hkl 1 1 3
36.3 deg, rel. 23, hkl -2 1 3
61.7 deg, rel. 16, hkl 1 4 0
34.0 deg, rel. 15, hkl 0 2 2
61.6 deg, rel. 8, hkl -2 3 5
62.0 deg, rel. 8, hkl 4 -1 1
65.0 deg, rel. 7, hkl 3 1 -5
64.1 deg, rel. 7, hkl 3 -5 1
16.8 deg, rel. 7, hkl 0 1 1
23.5 deg, rel. 5, hkl 1 -2 0